(1)
Zr2Al3C5: computed powder XRD pattern (Cu Kα, 1.54184 Å), based on a cell relaxed with PBE.
Lines closer than 0.1° are merged.

Main lines, low angle first (2θ from 15° to 90°):
2θ (°)  I/Imax
21.6  19
33.6  97
36.4  36
36.7  100
38.7  59
41.0  60
43.5  20
56.5  57
58.7  42
69.1  34

Crystal structure
```
Zr2Al3C5
1.0
3.2558 0.0000 0.0000
-1.6279 2.8196 0.0000
0.0000 0.0000 24.6623
Zr Al C
4 6 10
direct
0.3333 0.6667 0.0560
0.3333 0.6667 0.4440
0.6667 0.3333 0.5560
0.6667 0.3333 0.9440
0.0000 0.0000 0.1525
0.0000 0.0000 0.3475
0.0000 0.0000 0.6525
0.0000 0.0000 0.8475
0.3333 0.6667 0.7500
0.6667 0.3333 0.2500
0.0000 0.0000 0.0000
0.0000 0.0000 0.5000
0.3333 0.6667 0.2178
0.3333 0.6667 0.2822
0.3333 0.6667 0.6142
0.3333 0.6667 0.8858
0.6667 0.3333 0.1142
0.6667 0.3333 0.3858
0.6667 0.3333 0.7178
0.6667 0.3333 0.7822
```

---

(2)
Zr2AlC: computed powder XRD pattern (Cu Kα, 1.54184 Å), based on a cell relaxed with PBE.
Lines closer than 0.1° are merged.

Main lines, low angle first (2θ from 15° to 90°):
2θ (°)  I/Imax
24.4  6
31.0  21
31.6  15
36.2  100
36.9  19
48.9  16
55.2  21
66.0  16
67.8  15
68.2  18

Crystal structure
```
Zr2AlC
1.0
3.3304 0.0000 0.0000
-1.6652 2.8842 0.0000
0.0000 0.0000 14.6143
Zr Al C
4 2 2
direct
0.3333 0.6667 0.0868
0.3333 0.6667 0.4132
0.6667 0.3333 0.5868
0.6667 0.3333 0.9132
0.3333 0.6667 0.7500
0.6667 0.3333 0.2500
0.0000 0.0000 0.0000
0.0000 0.0000 0.5000
```

---

(3)
Zr2Al4C5: computed powder XRD pattern (Cu Kα, 1.54184 Å), based on a cell relaxed with PBE.
Lines closer than 0.1° are merged.

Main lines, low angle first (2θ from 15° to 90°):
2θ (°)  I/Imax
32.0  86
32.6  25
34.4  62
35.4  33
39.2  100
39.4  24
47.1  14
54.7  52
58.6  31
69.4  43

Crystal structure
```
Zr2Al4C5
1.0
1.6792 0.9695 13.7377
-1.6792 0.9695 13.7377
0.0000 -1.9390 13.7377
Zr Al C
2 4 5
direct
0.1337 0.1337 0.1337
0.8663 0.8663 0.8663
0.3105 0.3105 0.3105
0.4111 0.4111 0.4111
0.5889 0.5889 0.5889
0.6895 0.6895 0.6895
0.2338 0.2338 0.2338
0.3637 0.3637 0.3637
0.5000 0.5000 0.5000
0.6363 0.6363 0.6363
0.7662 0.7662 0.7662
```

---

(4)
Ca13Al14: computed powder XRD pattern (Cu Kα, 1.54184 Å), based on a cell relaxed with PBE.
Lines closer than 0.1° are merged.

Main lines, low angle first (2θ from 15° to 90°):
2θ (°)  I/Imax
30.5  86
31.7  100
31.8  86
32.6  43
33.0  93
33.3  72
35.0  56
36.0  59
36.9  53
37.1  43

Crystal structure
```
Ca13Al14
1.0
7.6865 -4.9248 0.0000
7.6865 4.9248 0.0000
-3.0070 0.0000 9.2109
Ca Al
13 14
direct
0.0000 0.0000 0.0000
0.0569 0.6508 0.1346
0.0809 0.6432 0.7272
0.1968 0.1968 0.5841
0.3493 0.9431 0.8654
0.3568 0.9191 0.2728
0.4970 0.4970 0.2969
0.5030 0.5030 0.7031
0.6432 0.0809 0.7272
0.6508 0.0569 0.1346
0.8032 0.8032 0.4159
0.9191 0.3568 0.2728
0.9431 0.3493 0.8654
0.0021 0.0021 0.6579
0.2049 0.4771 0.4172
0.2249 0.7751 0.5000
0.2599 0.2599 0.1571
0.3394 0.3394 0.9309
0.3536 0.6464 0.0000
0.4771 0.2049 0.4172
0.5229 0.7951 0.5828
0.6464 0.3536 0.0000
0.6606 0.6606 0.0691
0.7401 0.7401 0.8429
0.7751 0.2249 0.5000
0.7951 0.5229 0.5828
0.9979 0.9979 0.3421
```

---

(5)
CaAl2: computed powder XRD pattern (Cu Kα, 1.54184 Å), based on a cell relaxed with PBE.
Lines closer than 0.1° are merged.

Main lines, low angle first (2θ from 15° to 90°):
2θ (°)  I/Imax
31.6  44
37.2  100
38.9  27
45.2  1
56.2  15
60.0  30
65.9  24
74.9  6
78.2  10
79.3  10

Crystal structure
```
CaAl2
1.0
0.0000 4.0081 4.0081
4.0081 0.0000 4.0081
4.0081 4.0081 0.0000
Ca Al
2 4
direct
0.1250 0.1250 0.1250
0.8750 0.8750 0.8750
0.0000 0.5000 0.5000
0.5000 0.0000 0.5000
0.5000 0.5000 0.0000
0.5000 0.5000 0.5000
```

---

(6)
Ca8Al3: computed powder XRD pattern (Cu Kα, 1.54184 Å), based on a cell relaxed with PBE.
Lines closer than 0.1° are merged.

Main lines, low angle first (2θ from 15° to 90°):
2θ (°)  I/Imax
28.9  13
29.2  17
29.5  13
29.8  18
30.3  23
31.5  12
32.2  45
32.5  27
32.6  38
32.8  100

Crystal structure
```
Ca8Al3
1.0
9.4383 0.0000 0.0000
-4.6992 8.2728 0.0000
-1.8135 -2.7268 9.0127
Ca Al
16 6
direct
0.0306 0.2006 0.1506
0.0464 0.2130 0.7982
0.1664 0.6214 0.3905
0.2009 0.9979 0.6089
0.2753 0.6528 0.8000
0.3785 0.9021 0.1494
0.4201 0.2703 0.3934
0.4584 0.5606 0.1692
0.5416 0.4394 0.8308
0.5799 0.7297 0.6066
0.6215 0.0979 0.8506
0.7247 0.3472 0.2000
0.7991 0.0021 0.3911
0.8336 0.3786 0.6095
0.9536 0.7870 0.2018
0.9694 0.7994 0.8494
0.0000 0.5000 0.0000
0.1756 0.3403 0.5269
0.3274 0.1630 0.0002
0.5000 0.0000 0.5000
0.6726 0.8370 0.9998
0.8244 0.6597 0.4731
```